Structure and computed X-ray powder pattern of NaMgCoO2 (a DFT-relaxed cell (PBE+U, the Materials Project); CuKα).

Peak list (12 most intense, 10 to 80 degrees two-theta, in order of rising 2θ)
2θ (°), I/Imax
11.95, 77
24.03, 67
32.09, 62
32.86, 57
35.80, 56
36.39, 34
37.87, 38
42.98, 100
52.50, 21
56.06, 20
56.71, 61
69.28, 29

Structural model:
Cell lengths 3.2464, 3.2464, 22.2176 Å; angles 90.00, 90.00, 120.00 degrees
Space group R3m (No. 160, hexagonal axes)
Unique sites:
Na 0.0000 0.0000 0.0000
Mg 0.0000 0.0000 0.5569
Co 0.0000 0.0000 0.4339
O 0.0000 0.0000 0.2562
O 0.0000 0.0000 0.7401

Structure and computed X-ray powder pattern of Na6MgCo2O6 (a DFT-relaxed cell (PBE+U, the Materials Project); CuKα).

Peak list (12 most intense, 10 to 80 degrees two-theta, in order of rising 2θ)
2θ (°), I/Imax
18.79, 27
24.39, 100
32.47, 41
33.03, 21
36.47, 13
36.68, 15
38.11, 25
40.49, 14
42.92, 63
49.16, 21
58.70, 16
67.26, 14

Structural model:
Cell lengths 4.2169, 9.4445, 11.4637 Å; angles 90.00, 90.00, 90.00 degrees
Space group Amm2 (No. 38)
Unique sites:
Na 0.0000 0.0000 0.0000
Na 0.0000 0.2349 0.3278
Na 0.5000 0.0000 0.8332
Na 0.5000 0.2472 0.5828
Mg 0.5000 0.0000 0.4273
Co 0.0000 0.0000 0.6275
Co 0.5000 0.0000 0.1972
O 0.0000 0.0000 0.7870
O 0.0000 0.1518 0.5225
O 0.5000 0.0000 0.0396
O 0.5000 0.1516 0.3041